Diffraction record for Ba3SrCa2Mo2O12. The powder diffractogram is computed, not measured: it uses a structure optimized by DFT (GGA+U) and Cu Kα X-rays.
Peak positions follow from Bragg's law for the DFT cell and can differ from measured ones.

Cell lengths 5.985, 5.985, 8.463 Å; angles 90.00, 90.00, 90.00 degrees
Positions (direct):
Ba (0.000, 0.000, 0.000)
Ba (0.000, 0.000, 0.500)
Ba (0.500, 0.500, 0.000)
Sr (0.500, 0.500, 0.500)
Ca (0.000, 0.500, 0.749)
Ca (0.500, 0.000, 0.251)
Mo (0.000, 0.500, 0.251)
Mo (0.500, 0.000, 0.749)
O (0.000, 0.500, 0.021)
O (0.000, 0.500, 0.481)
O (0.231, 0.271, 0.251)
O (0.231, 0.729, 0.251)
O (0.271, 0.231, 0.749)
O (0.271, 0.769, 0.749)
O (0.500, 0.000, 0.519)
O (0.500, 0.000, 0.979)
O (0.729, 0.231, 0.749)
O (0.729, 0.769, 0.749)
O (0.769, 0.271, 0.251)
O (0.769, 0.729, 0.251)

Peak list (10 most intense, 10 to 90 degrees two-theta, by angle)
2θ (°), d/Å, intensity
18.2, 4.886, 10
21.0, 4.232, 4
29.9, 2.992, 100
36.8, 2.443, 12
42.7, 2.116, 34
53.0, 1.728, 39
62.0, 1.496, 20
70.4, 1.338, 18
78.3, 1.222, 7
85.9, 1.131, 21

Diffraction record for LiV2P4H2O16. The powder diffractogram is computed, not measured: it uses a structure optimized by DFT (GGA+U) and Cu Kα X-rays.
Peak positions follow from Bragg's law for the DFT cell and can differ from measured ones.

Cell lengths 7.734, 7.889, 9.747 Å; angles 90.05, 112.97, 90.06 degrees
Positions (direct):
Li (0.000, 0.000, 0.000)
Li (0.497, 0.237, 0.505)
V (0.133, 0.372, 0.524)
V (0.147, 0.375, 0.030)
V (0.639, 0.864, 0.027)
V (0.652, 0.861, 0.532)
P (0.379, 0.017, 0.707)
P (0.385, 0.025, 0.211)
P (0.409, 0.524, 0.347)
P (0.413, 0.516, 0.846)
P (0.873, 0.223, 0.205)
P (0.879, 0.214, 0.709)
P (0.914, 0.716, 0.848)
P (0.919, 0.725, 0.346)
H (0.154, 0.878, 0.770)
H (0.157, 0.869, 0.273)
H (0.635, 0.373, 0.289)
H (0.641, 0.379, 0.790)
O (0.001, 0.312, 0.635)
O (0.006, 0.209, 0.377)
O (0.007, 0.196, 0.877)
O (0.086, 0.824, 0.874)
O (0.098, 0.816, 0.367)
O (0.198, 0.921, 0.683)
O (0.203, 0.926, 0.183)
O (0.283, 0.542, 0.181)
O (0.285, 0.531, 0.678)
O (0.300, 0.427, 0.925)
O (0.301, 0.420, 0.426)
O (0.331, 0.195, 0.632)
O (0.331, 0.197, 0.134)
O (0.463, 0.699, 0.418)
O (0.469, 0.697, 0.918)
O (0.497, 0.925, 0.634)
O (0.502, 0.925, 0.137)
O (0.506, 0.030, 0.878)
O (0.507, 0.043, 0.378)
O (0.587, 0.415, 0.375)
O (0.596, 0.421, 0.874)
O (0.697, 0.316, 0.188)
O (0.701, 0.312, 0.682)
O (0.784, 0.695, 0.681)
O (0.784, 0.705, 0.179)
O (0.799, 0.816, 0.926)
O (0.804, 0.811, 0.425)
O (0.831, 0.042, 0.132)
O (0.833, 0.039, 0.636)
O (0.962, 0.539, 0.917)
O (0.972, 0.541, 0.418)
O (0.995, 0.312, 0.133)

Peak list (10 most intense, 10 to 90 degrees two-theta, by angle)
2θ (°), d/Å, intensity
16.8, 5.286, 79
22.8, 3.900, 60
25.1, 3.542, 100
25.8, 3.450, 70
27.6, 3.231, 22
29.6, 3.022, 78
29.6, 3.015, 42
30.2, 2.962, 26
33.9, 2.643, 51
52.7, 1.736, 23

Diffraction record for MgMn4Si8O22. The powder diffractogram is computed, not measured: it uses a structure optimized by DFT (GGA+U) and Cu Kα X-rays.
Peak positions follow from Bragg's law for the DFT cell and can differ from measured ones.

Cell lengths 7.162, 7.742, 8.727 Å; angles 95.51, 103.81, 108.72 degrees
Positions (direct):
Mg (0.000, 0.000, 0.000)
Mn (0.269, 0.352, 0.689)
Mn (0.472, 0.635, 0.457)
Mn (0.763, 0.354, 0.674)
Mn (0.989, 0.633, 0.446)
Si (0.071, 0.244, 0.293)
Si (0.164, 0.783, 0.829)
Si (0.333, 0.032, 0.448)
Si (0.357, 0.412, 0.097)
Si (0.585, 0.782, 0.838)
Si (0.640, 0.237, 0.284)
Si (0.881, 0.980, 0.659)
Si (0.882, 0.616, 0.035)
O (0.043, 0.610, 0.679)
O (0.093, 0.769, 0.997)
O (0.096, 0.965, 0.783)
O (0.123, 0.059, 0.335)
O (0.130, 0.261, 0.119)
O (0.199, 0.428, 0.432)
O (0.268, 0.819, 0.482)
O (0.316, 0.454, 0.921)
O (0.412, 0.853, 0.882)
O (0.435, 0.196, 0.606)
O (0.436, 0.593, 0.237)
O (0.499, 0.058, 0.342)
O (0.499, 0.279, 0.127)
O (0.508, 0.615, 0.685)
O (0.738, 0.417, 0.433)
O (0.745, 0.763, 0.002)
O (0.750, 0.970, 0.797)
O (0.766, 0.803, 0.513)
O (0.792, 0.433, 0.905)
O (0.823, 0.181, 0.237)
O (0.929, 0.603, 0.221)
O (0.945, 0.188, 0.626)

Peak list (10 most intense, 10 to 90 degrees two-theta, by angle)
2θ (°), d/Å, intensity
10.6, 8.324, 71
12.3, 7.202, 34
14.7, 6.028, 31
25.0, 3.557, 29
25.8, 3.459, 28
26.7, 3.342, 62
29.8, 3.001, 100
31.3, 2.861, 28
32.3, 2.771, 42
32.5, 2.759, 69

Diffraction record for MgV2Zn2O7. The powder diffractogram is computed, not measured: it uses a structure optimized by DFT (GGA+U) and Cu Kα X-rays.
Peak positions follow from Bragg's law for the DFT cell and can differ from measured ones.

Cell lengths 5.610, 5.610, 5.265 Å; angles 100.40, 100.40, 110.46 degrees
Positions (direct):
Mg (0.000, 0.000, 0.000)
V (0.040, 0.461, 0.872)
V (0.539, 0.960, 0.128)
Zn (0.129, 0.871, 0.500)
Zn (0.476, 0.524, 0.500)
O (0.148, 0.215, 0.745)
O (0.255, 0.656, 0.226)
O (0.344, 0.745, 0.774)
O (0.357, 0.151, 0.283)
O (0.779, 0.221, 0.000)
O (0.785, 0.852, 0.255)
O (0.849, 0.643, 0.717)

Peak list (10 most intense, 10 to 90 degrees two-theta, by angle)
2θ (°), d/Å, intensity
17.5, 5.069, 58
26.3, 3.387, 97
28.2, 3.164, 100
29.2, 3.059, 61
35.0, 2.563, 45
35.4, 2.535, 26
38.8, 2.323, 30
39.7, 2.270, 28
43.7, 2.069, 36
53.0, 1.727, 41